Structure and computed X-ray powder pattern of Ba3ScMo2O9 (DFT lattice parameters and positions (GGA+U); Cu Kα (λ = 1.5418 Å)).

Top 6 peaks for 2θ = 15–90°, by angle:
2θ 30.34, I 100.0, (0 1 2); 2θ 30.60, I 97.1, (1 1 0); 2θ 43.63, I 63.4, (2 0 2); 2θ 53.75, I 19.7, (1 0 4); 2θ 54.23, I 38.8, (1 2 2); 2θ 63.13, I 19.5, (0 2 4)

Structure:
```
Ba3ScMo2O9
1.0
5.8434 0.0000 0.0000
-2.9217 5.0606 0.0000
0.0000 0.0000 7.2451
Ba Sc Mo O
3 1 2 9
direct
0.0000 0.0000 0.0000
0.3333 0.6667 0.6639
0.6667 0.3333 0.3361
0.0000 0.0000 0.5000
0.3333 0.6667 0.1688
0.6667 0.3333 0.8312
0.0000 0.5000 0.0000
0.1710 0.3419 0.3296
0.1710 0.8290 0.3296
0.3419 0.1710 0.6704
0.5000 0.0000 0.0000
0.5000 0.5000 0.0000
0.6581 0.8290 0.3296
0.8290 0.1710 0.6704
0.8290 0.6581 0.6704
```